1.
Diffraction record for K8Rb3Na. The X-ray diffraction stick pattern is calculated, not measured: it uses DFT lattice parameters and positions (GGA-PBE) and Cu Kα (λ = 1.5418 Å).
Peak positions follow from Bragg's law for the DFT cell and can differ from measured ones.

Top 10 peaks for 10 to 80 degrees two-theta, by angle:
- 21.81°, I 17, (1 1 0)
- 22.58°, I 38, (2 -1 1)
- 23.26°, I 29, (0 0 4)
- 24.75°, I 100, (1 1 2)
- 28.03°, I 17, (1 1 3)
- 32.10°, I 14, (2 -1 4)
- 38.25°, I 23, (3 0 0)
- 41.79°, I 23, (1 1 6)
- 45.25°, I 27, (3 0 4)
- 46.10°, I 17, (4 -2 2)

Crystal structure
a b c (Å): 8.1513 8.1513 15.2961
angles (deg): 90.00 90.00 120.00
Element x y z (fractional)
K  0.0000  0.3235  0.2632
K  0.0000  0.6765  0.7368
K  0.3235  0.0000  0.2632
K  0.3235  0.3235  0.7368
K  0.3333  0.6667  0.5000
K  0.6667  0.3333  0.5000
K  0.6765  0.0000  0.7368
K  0.6765  0.6765  0.2632
Rb  0.0000  0.0000  0.0000
Rb  0.3333  0.6667  0.0000
Rb  0.6667  0.3333  0.0000
Na  0.0000  0.0000  0.5000

2.
Diffraction record for Tl4Se2Br. The X-ray diffraction stick pattern is calculated, not measured: it uses DFT lattice parameters and positions (GGA-PBE) and Cu Kα (λ = 1.5418 Å).
Peak positions follow from Bragg's law for the DFT cell and can differ from measured ones.

Top 10 peaks for 10 to 80 degrees two-theta, by angle:
- 23.18°, I 63, (0 2 -1)
- 23.95°, I 53, (0 0 2)
- 26.09°, I 55, (2 0 -2)
- 26.39°, I 44, (-1 1 2)
- 28.45°, I 100, (2 -1 1)
- 28.78°, I 73, (1 -2 2)
- 30.39°, I 49, (1 2 -1)
- 30.59°, I 60, (2 1 -1)
- 30.79°, I 45, (2 1 -2)
- 33.41°, I 97, (2 0 -3)

Crystal structure
a b c (Å): 8.4208 8.4643 8.6168
angles (deg): 103.26 108.37 114.57
Element x y z (fractional)
Tl  0.0000  0.0000  0.0000
Tl  0.0036  0.4231  0.4635
Tl  0.1361  0.0764  0.6224
Tl  0.2511  0.5675  0.0110
Tl  0.4954  0.9427  0.8755
Tl  0.5800  0.2798  0.5697
Tl  0.6064  0.7154  0.4931
Tl  0.7560  0.5611  0.0473
Se  0.4084  0.5197  0.7045
Se  0.8440  0.9755  0.2252
Se  0.8710  0.1592  0.7927
Se  0.9834  0.6979  0.7913
Br  0.2337  0.7783  0.3830
Br  0.4227  0.2678  0.1697